Starting from a DFT-relaxed cell (GGA-PBE, the Materials Project), the powder diffractogram of ZrCrAgS4 was simulated for Cu Kα X-rays.
No peak broadening, texture or thermal motion is included.

Crystal structure
a b c (Å): 12.239 3.630 12.266
angles (deg): 90.00 90.84 90.00
Space group Pm (No. 6)
Unique sites:
Zr (0.000, 0.000, 0.000) [1 per cell]
Zr (0.077, 0.000, 0.499) [1 per cell]
Zr (0.474, 0.500, 0.832) [1 per cell]
Zr (0.697, 0.000, 0.558) [1 per cell]
Cr (0.219, 0.500, 0.266) [1 per cell]
Cr (0.364, 0.000, 0.065) [1 per cell]
Cr (0.589, 0.500, 0.314) [1 per cell]
Cr (0.862, 0.500, 0.765) [1 per cell]
Ag (0.200, 0.000, 0.786) [1 per cell]
Ag (0.377, 0.500, 0.518) [1 per cell]
Ag (0.693, 0.500, 0.047) [1 per cell]
Ag (0.876, 0.000, 0.281) [1 per cell]
S (0.033, 0.500, 0.351) [1 per cell]
S (0.041, 0.500, 0.852) [1 per cell]
S (0.173, 0.500, 0.606) [1 per cell]
S (0.177, 0.000, 0.135) [1 per cell]
S (0.257, 0.000, 0.386) [1 per cell]
S (0.306, 0.500, 0.944) [1 per cell]
S (0.405, 0.000, 0.705) [1 per cell]
S (0.406, 0.500, 0.192) [1 per cell]
S (0.528, 0.000, 0.437) [1 per cell]
S (0.540, 0.000, 0.968) [1 per cell]
S (0.666, 0.500, 0.707) [1 per cell]
S (0.672, 0.000, 0.216) [1 per cell]
S (0.754, 0.500, 0.426) [1 per cell]
S (0.820, 0.000, 0.883) [1 per cell]
S (0.903, 0.500, 0.102) [1 per cell]
S (0.906, 0.000, 0.631) [1 per cell]

The 10 most intense peaks (2θ from 15° to 90°), in order of rising 2θ:
2θ 26.06, d = 3.420 Å, I = 66, hkl 3 0 -2
2θ 26.42, d = 3.374 Å, I = 85, hkl 3 0 2
2θ 29.14, d = 3.065 Å, I = 50, hkl 0 0 4
2θ 33.75, d = 2.655 Å, I = 67, hkl 1 1 -3
2θ 33.90, d = 2.645 Å, I = 100, hkl 1 1 3
2θ 36.07, d = 2.490 Å, I = 78, hkl 2 1 -3
2θ 36.34, d = 2.472 Å, I = 60, hkl 2 1 3
2θ 45.20, d = 2.006 Å, I = 55, hkl 5 1 -1
2θ 45.38, d = 1.998 Å, I = 51, hkl 5 1 1
2θ 50.25, d = 1.816 Å, I = 80, hkl 0 2 0


Starting from a DFT-relaxed cell (GGA-PBE, the Materials Project), the powder diffractogram of BaO2 was simulated for Cu Kα X-rays.
No peak broadening, texture or thermal motion is included.

Crystal structure
a b c (Å): 7.084 7.955 9.981
angles (deg): 90.00 124.51 90.00
Space group P2_1/c (No. 14)
Unique sites:
Ba (0.071, 0.038, 0.334) [4 per cell]
Ba (0.411, 0.618, 0.636) [4 per cell]
O (0.089, 0.137, 0.063) [4 per cell]
O (0.267, 0.161, 0.935) [4 per cell]
O (0.268, 0.571, 0.132) [4 per cell]
O (0.320, 0.739, 0.346) [4 per cell]

The 10 most intense peaks (2θ from 15° to 90°), in order of rising 2θ:
2θ 24.37, d = 3.653 Å, I = 23, hkl 0 1 2
2θ 25.53, d = 3.490 Å, I = 49, hkl 2 0 -2
2θ 25.76, d = 3.458 Å, I = 100, hkl 1 1 1
2θ 29.27, d = 3.051 Å, I = 51, hkl 1 1 -3
2θ 34.18, d = 2.623 Å, I = 17, hkl 2 2 -2
2θ 38.28, d = 2.352 Å, I = 18, hkl 2 1 -4
2θ 40.46, d = 2.229 Å, I = 27, hkl 0 3 2
2θ 42.79, d = 2.113 Å, I = 16, hkl 3 1 -1
2θ 45.19, d = 2.006 Å, I = 24, hkl 3 2 -3
2θ 49.58, d = 1.839 Å, I = 20, hkl 3 1 -5


Starting from a DFT-relaxed cell (GGA-PBE, the Materials Project), the powder diffractogram of MgSi2 was simulated for Cu Kα X-rays.
No peak broadening, texture or thermal motion is included.

Crystal structure
a b c (Å): 6.592 6.614 10.790
angles (deg): 88.63 83.84 89.95
Space group P1 (No. 1)
Unique sites:
Mg (0.000, 0.000, 0.000) [1 per cell]
Mg (0.038, 0.554, 0.676) [1 per cell]
Mg (0.132, 0.036, 0.410) [1 per cell]
Mg (0.245, 0.673, 0.237) [1 per cell]
Mg (0.499, 0.089, 0.924) [1 per cell]
Mg (0.575, 0.150, 0.385) [1 per cell]
Mg (0.641, 0.414, 0.109) [1 per cell]
Mg (0.681, 0.696, 0.856) [1 per cell]
Si (0.210, 0.399, 0.872) [1 per cell]
Si (0.220, 0.338, 0.093) [1 per cell]
Si (0.240, 0.921, 0.666) [1 per cell]
Si (0.267, 0.761, 0.864) [1 per cell]
Si (0.278, 0.418, 0.475) [1 per cell]
Si (0.369, 0.257, 0.674) [1 per cell]
Si (0.387, 0.064, 0.184) [1 per cell]
Si (0.401, 0.759, 0.484) [1 per cell]
Si (0.632, 0.822, 0.106) [1 per cell]
Si (0.740, 0.246, 0.660) [1 per cell]
Si (0.770, 0.750, 0.454) [1 per cell]
Si (0.841, 0.324, 0.867) [1 per cell]
Si (0.869, 0.913, 0.638) [1 per cell]
Si (0.875, 0.894, 0.249) [1 per cell]
Si (0.899, 0.405, 0.458) [1 per cell]
Si (0.923, 0.262, 0.244) [1 per cell]

The 10 most intense peaks (2θ from 15° to 90°), in order of rising 2θ:
2θ 28.67, d = 3.114 Å, I = 58, hkl 0 1 -3
2θ 30.26, d = 2.953 Å, I = 66, hkl 1 -2 0
2θ 30.87, d = 2.896 Å, I = 60, hkl 1 2 1
2θ 33.44, d = 2.680 Å, I = 94, hkl 0 0 4
2θ 38.68, d = 2.328 Å, I = 62, hkl 2 -2 0
2θ 42.11, d = 2.146 Å, I = 100, hkl 0 0 5
2θ 44.05, d = 2.056 Å, I = 79, hkl 0 3 2
2θ 44.84, d = 2.022 Å, I = 60, hkl 0 3 -2
2θ 47.97, d = 1.896 Å, I = 58, hkl 0 3 3
2θ 48.57, d = 1.875 Å, I = 60, hkl 3 -1 3